Entry 1:
This entry pairs a crystal structure of TiPt4Rh3 with its simulated powder diffraction line list. Radiation: Cu Kα X-rays. Structure: a crystal structure in Alexandria, relaxed with GGA-PBE.
Neutral-atom scattering factors, no anomalous dispersion.

Atomic structure:
```
16
Lattice="2.783 0.000 0.000 0.000 7.417 0.000 0.000 0.000 12.435" Properties=species:S:1:pos:R:3 pbc="T T T"
Ti 0.000 0.000 0.000
Ti 1.391 3.709 6.217
Pt 0.000 2.303 1.862
Pt 0.000 2.303 10.573
Pt 0.000 5.115 1.862
Pt 0.000 5.115 10.573
Pt 1.391 1.406 4.356
Pt 1.391 1.406 8.079
Pt 1.391 6.011 4.356
Pt 1.391 6.011 8.079
Rh 0.000 0.000 6.217
Rh 0.000 3.709 4.216
Rh 0.000 3.709 8.219
Rh 1.391 0.000 2.001
Rh 1.391 0.000 10.434
Rh 1.391 3.709 0.000
```

Principal peaks in the range 15° ≤ 2θ ≤ 90°, low angle first:
| 2θ/deg | I (rel.) |
| --- | --- |
| 28.7 | 60 |
| 37.1 | 37 |
| 37.4 | 36 |
| 39.0 | 49 |
| 41.2 | 63 |
| 42.6 | 100 |
| 43.7 | 51 |
| 45.4 | 50 |
| 46.3 | 84 |
| 79.4 | 45 |

***

Entry 2:
This entry pairs a crystal structure of UPt3Rh3 with its simulated powder diffraction line list. Radiation: Cu Kα X-rays. Structure: a crystal structure in Alexandria, relaxed with GGA-PBE.
Neutral-atom scattering factors, no anomalous dispersion.

Atomic structure:
```
14
Lattice="5.676 0.000 0.000 0.000 5.611 0.000 -0.152 0.000 7.553" Properties=species:S:1:pos:R:3 pbc="T T T"
U 1.285 0.000 1.687
U 4.239 0.000 5.867
Pt 1.258 2.806 1.809
Pt 1.241 0.000 5.732
Pt 1.320 2.806 5.685
Pt 4.204 2.806 1.869
Pt 4.284 0.000 1.821
Pt 4.266 2.806 5.745
Rh -0.076 1.372 3.777
Rh -0.076 4.239 3.777
Rh 2.762 1.354 3.777
Rh 2.838 1.401 0.000
Rh 2.838 4.210 0.000
Rh 2.762 4.257 3.777
```

Principal peaks in the range 15° ≤ 2θ ≤ 90°, low angle first:
| 2θ/deg | I (rel.) |
| --- | --- |
| 23.6 | 23 |
| 31.5 | 12 |
| 31.9 | 12 |
| 39.3 | 36 |
| 40.1 | 100 |
| 45.5 | 48 |
| 48.2 | 20 |
| 67.9 | 14 |
| 69.0 | 12 |
| 80.2 | 10 |

***

Entry 3:
This entry pairs a crystal structure of UPt2Rh3 with its simulated powder diffraction line list. Radiation: Cu Kα X-rays. Structure: a crystal structure in Alexandria, relaxed with GGA-PBE.
Neutral-atom scattering factors, no anomalous dispersion.

Atomic structure:
```
12
Lattice="5.272 0.000 0.000 -0.005 5.535 0.000 -0.765 -2.755 6.807" Properties=species:S:1:pos:R:3 pbc="T T T"
U 0.863 1.389 1.127
U 3.640 1.390 5.681
Pt 4.886 -0.013 3.405
Pt -0.384 2.793 3.402
Pt 2.251 -0.009 3.401
Pt 2.252 2.788 3.406
Rh 0.936 4.155 1.211
Rh 0.937 0.029 5.792
Rh 0.929 2.778 5.796
Rh 3.573 0.002 1.011
Rh 3.566 2.751 1.015
Rh 3.567 -1.376 5.597
```

Principal peaks in the range 15° ≤ 2θ ≤ 90°, low angle first:
| 2θ/deg | I (rel.) |
| --- | --- |
| 35.0 | 47 |
| 38.2 | 84 |
| 38.4 | 58 |
| 39.7 | 100 |
| 41.1 | 66 |
| 42.1 | 40 |
| 46.8 | 34 |
| 47.8 | 24 |
| 48.6 | 22 |
| 80.5 | 23 |

***

Entry 4:
This entry pairs a crystal structure of U2Pt3Rh3 with its simulated powder diffraction line list. Radiation: Cu Kα X-rays. Structure: a crystal structure in Alexandria, relaxed with GGA-PBE.
Neutral-atom scattering factors, no anomalous dispersion.

Atomic structure:
```
8
Lattice="3.981 0.000 0.000 0.000 4.080 0.000 0.000 0.000 8.377" Properties=species:S:1:pos:R:3 pbc="T T T"
U 0.000 0.000 2.044
U 0.000 0.000 6.333
Pt 0.000 2.040 0.000
Pt 0.000 2.040 4.188
Pt 1.990 0.000 4.188
Rh 1.990 0.000 0.000
Rh 1.990 2.040 2.096
Rh 1.990 2.040 6.281
```

Principal peaks in the range 15° ≤ 2θ ≤ 90°, low angle first:
| 2θ/deg | I (rel.) |
| --- | --- |
| 38.2 | 100 |
| 43.2 | 18 |
| 44.4 | 16 |
| 45.6 | 15 |
| 63.7 | 11 |
| 64.6 | 11 |
| 75.9 | 14 |
| 77.6 | 13 |
| 79.3 | 12 |
| 81.8 | 11 |